Entry 1:
Structure and theoretical powder X-ray diffraction pattern of Na3Nd2Ga3 (the PBE geometry in OQMD; copper Kα).
Peak positions follow from Bragg's law for the DFT cell and can differ from measured ones.

Most intense lines, 10 to 90 degrees two-theta, low angle first:
| two_theta | intensity | h k l |
| --- | --- | --- |
| 11.29 | 265 | 0 0 2 |
| 22.87 | 1000 | 1 0 1 |
| 28.03 | 257 | 1 0 3 |
| 31.91 | 356 | 1 0 4 |
| 33.58 | 434 | 1 1 2 |
| 36.01 | 353 | 1 1 3 |
| 41.22 | 256 | 1 0 6 |
| 42.98 | 272 | 1 1 5 |
| 45.17 | 298 | 2 0 0 |
| 51.21 | 250 | 2 1 1 |

Cell and atoms:
```
data_Na3Nd2Ga3
_chemical_formula_sum 'Na3 Nd2 Ga3'
_space_group_name_H-M_alt 'P -4 m 2'
_space_group_IT_number 115
_space_group_name_Hall 'P -4 -2'
_cell_length_a 4.014
_cell_length_b 4.014
_cell_length_c 15.679
_cell_angle_alpha 90.00
_cell_angle_beta 90.00
_cell_angle_gamma 90.00
loop_
_atom_site_label
_atom_site_type_symbol
_atom_site_fract_x
_atom_site_fract_y
_atom_site_fract_z
Na1 Na 0.000 0.000 0.000
Na2 Na 0.000 0.000 0.500
Na3 Na 0.500 0.500 0.000
Nd1 Nd 0.000 0.500 0.799
Ga1 Ga 0.500 0.500 0.344
Ga2 Ga 0.500 0.500 0.500
```

---

Entry 2:
Structure and theoretical powder X-ray diffraction pattern of Na2Zn2Ga2NiPt (the PBE geometry in OQMD; copper Kα).
Peak positions follow from Bragg's law for the DFT cell and can differ from measured ones.

Most intense lines, 10 to 90 degrees two-theta, low angle first:
| two_theta | intensity | h k l |
| --- | --- | --- |
| 14.09 | 67 | 0 0 1 |
| 19.99 | 89 | 1 0 0 |
| 24.54 | 304 | 1 0 1 |
| 31.85 | 78 | 1 1 1 |
| 40.62 | 1000 | 2 0 0 |
| 48.03 | 154 | 2 1 1 |
| 58.79 | 162 | 2 2 0 |
| 64.67 | 64 | 3 0 1 |
| 73.91 | 317 | 3 1 2 |
| 87.92 | 100 | 4 0 0 |

Cell and atoms:
```
data_Na2Zn2Ga2NiPt
_chemical_formula_sum 'Na2 Zn2 Ga2 Ni1 Pt1'
_space_group_name_H-M_alt 'P -4 m 2'
_space_group_IT_number 115
_space_group_name_Hall 'P -4 -2'
_cell_length_a 4.441
_cell_length_b 4.441
_cell_length_c 6.284
_cell_angle_alpha 90.00
_cell_angle_beta 90.00
_cell_angle_gamma 90.00
loop_
_atom_site_label
_atom_site_type_symbol
_atom_site_fract_x
_atom_site_fract_y
_atom_site_fract_z
Na1 Na 0.000 0.000 0.000
Na2 Na 0.500 0.500 0.500
Zn1 Zn 0.000 0.500 0.739
Ga1 Ga 0.000 0.500 0.261
Ni1 Ni 0.000 0.000 0.500
Pt1 Pt 0.500 0.500 0.000
```

---

Entry 3:
Structure and theoretical powder X-ray diffraction pattern of Na2Sc2GaSnPt2 (the PBE geometry in OQMD; copper Kα).
Peak positions follow from Bragg's law for the DFT cell and can differ from measured ones.

Most intense lines, 10 to 90 degrees two-theta, low angle first:
| two_theta | intensity | h k l |
| --- | --- | --- |
| 23.26 | 855 | 1 0 1 |
| 38.35 | 1000 | 1 1 2 |
| 38.65 | 492 | 2 0 0 |
| 45.07 | 154 | 1 0 3 |
| 45.60 | 301 | 2 1 1 |
| 55.80 | 168 | 2 2 0 |
| 60.84 | 131 | 2 1 3 |
| 69.14 | 171 | 2 0 4 |
| 69.74 | 339 | 3 1 2 |
| 82.12 | 107 | 2 2 4 |

Cell and atoms:
```
data_Na2Sc2GaSnPt2
_chemical_formula_sum 'Na2 Sc2 Ga1 Sn1 Pt2'
_space_group_name_H-M_alt 'P -4 m 2'
_space_group_IT_number 115
_space_group_name_Hall 'P -4 -2'
_cell_length_a 4.660
_cell_length_b 4.660
_cell_length_c 6.690
_cell_angle_alpha 90.00
_cell_angle_beta 90.00
_cell_angle_gamma 90.00
loop_
_atom_site_label
_atom_site_type_symbol
_atom_site_fract_x
_atom_site_fract_y
_atom_site_fract_z
Na1 Na 0.000 0.500 0.236
Sc1 Sc 0.000 0.000 0.000
Sc2 Sc 0.500 0.500 0.500
Ga1 Ga 0.500 0.500 0.000
Sn1 Sn 0.000 0.000 0.500
Pt1 Pt 0.000 0.500 0.757
```

---

Entry 4:
Structure and theoretical powder X-ray diffraction pattern of NaSrGa4Pt2 (the PBE geometry in OQMD; copper Kα).
Peak positions follow from Bragg's law for the DFT cell and can differ from measured ones.

Most intense lines, 10 to 90 degrees two-theta, low angle first:
| two_theta | intensity | h k l |
| --- | --- | --- |
| 17.10 | 939 | 0 0 2 |
| 21.28 | 379 | 1 0 2 |
| 25.51 | 805 | 1 1 1 |
| 33.84 | 727 | 2 1 1 |
| 35.50 | 1000 | 1 1 3 |
| 36.95 | 568 | 1 0 4 |
| 41.39 | 561 | 0 2 0 |
| 42.08 | 714 | 2 1 3 |
| 44.70 | 765 | 3 1 1 |
| 56.67 | 330 | 1 2 4 |

Cell and atoms:
```
data_NaSrGa4Pt2
_chemical_formula_sum 'Na2 Sr2 Ga8 Pt4'
_space_group_name_H-M_alt 'A m m 2'
_space_group_IT_number 38
_space_group_name_Hall 'A 2 -2'
_cell_length_a 7.042
_cell_length_b 4.363
_cell_length_c 10.369
_cell_angle_alpha 90.00
_cell_angle_beta 90.00
_cell_angle_gamma 90.00
loop_
_atom_site_label
_atom_site_type_symbol
_atom_site_fract_x
_atom_site_fract_y
_atom_site_fract_z
Na1 Na 0.000 0.000 0.000
Sr1 Sr 0.500 0.000 0.851
Ga1 Ga 0.187 0.000 0.278
Ga2 Ga 0.294 0.000 0.565
Pt1 Pt 0.000 0.000 0.716
Pt2 Pt 0.500 0.000 0.135
```

---

Entry 5:
Structure and theoretical powder X-ray diffraction pattern of NaZrGa (the PBE geometry in OQMD; copper Kα).
Peak positions follow from Bragg's law for the DFT cell and can differ from measured ones.

Most intense lines, 10 to 90 degrees two-theta, low angle first:
| two_theta | intensity | h k l |
| --- | --- | --- |
| 23.40 | 698 | 1 1 1 |
| 27.08 | 72 | 2 0 0 |
| 38.67 | 1000 | 2 2 0 |
| 45.69 | 342 | 3 1 1 |
| 55.84 | 165 | 4 0 0 |
| 61.36 | 139 | 3 3 1 |
| 69.98 | 323 | 4 2 2 |
| 74.93 | 103 | 5 1 1 |
| 82.93 | 99 | 4 4 0 |
| 87.66 | 105 | 5 3 1 |

Cell and atoms:
```
data_NaZrGa
_chemical_formula_sum 'Na4 Zr4 Ga4'
_space_group_name_H-M_alt 'F -4 3 m'
_space_group_IT_number 216
_space_group_name_Hall 'F -4 2 3'
_cell_length_a 6.586
_cell_length_b 6.586
_cell_length_c 6.586
_cell_angle_alpha 90.00
_cell_angle_beta 90.00
_cell_angle_gamma 90.00
loop_
_atom_site_label
_atom_site_type_symbol
_atom_site_fract_x
_atom_site_fract_y
_atom_site_fract_z
Na1 Na 0.000 0.000 0.000
Zr1 Zr 0.000 0.000 0.500
Ga1 Ga 0.250 0.250 0.250
```

---

Entry 6:
Structure and theoretical powder X-ray diffraction pattern of NbGa2 (the PBE geometry in OQMD; copper Kα).
Peak positions follow from Bragg's law for the DFT cell and can differ from measured ones.

Most intense lines, 10 to 90 degrees two-theta, low angle first:
| two_theta | intensity | h k l |
| --- | --- | --- |
| 35.05 | 366 | 2 2 0 |
| 41.36 | 1000 | 3 1 1 |
| 43.29 | 318 | 2 2 2 |
| 50.41 | 19 | 4 0 0 |
| 62.88 | 128 | 4 2 2 |
| 67.18 | 303 | 5 1 1 |
| 74.07 | 250 | 4 4 0 |
| 84.66 | 55 | 6 2 0 |
| 88.56 | 107 | 5 3 3 |
| 89.86 | 112 | 6 2 2 |

Cell and atoms:
Cell: 7.241 7.241 7.241 Å, 90.00 90.00 90.00°
Space group Fd-3m (No. 227, origin choice 2)
Inequivalent atoms, fractional coordinates:
Nb  0.125  0.125  0.125 [8 per cell]
Ga  0.000  0.000  0.500 [16 per cell]

---

Entry 7:
Structure and theoretical powder X-ray diffraction pattern of TaNb2Ga2 (the PBE geometry in OQMD; copper Kα).
Peak positions follow from Bragg's law for the DFT cell and can differ from measured ones.

Most intense lines, 10 to 90 degrees two-theta, low angle first:
| two_theta | intensity | h k l |
| --- | --- | --- |
| 31.35 | 317 | 1 1 1 |
| 36.44 | 850 | 2 0 1 |
| 36.69 | 300 | 2 2 0 |
| 38.76 | 1000 | 2 1 1 |
| 41.21 | 823 | 3 1 0 |
| 49.01 | 250 | 3 1 1 |
| 52.10 | 240 | 0 0 2 |
| 62.76 | 172 | 3 3 1 |
| 68.49 | 361 | 3 1 2 |
| 74.95 | 236 | 5 1 1 |

Cell and atoms:
```
data_TaNb2Ga2
_chemical_formula_sum 'Ta2 Nb4 Ga4'
_space_group_name_H-M_alt 'P 4/m b m'
_space_group_IT_number 127
_space_group_name_Hall '-P 4 2ab'
_cell_length_a 6.928
_cell_length_b 6.928
_cell_length_c 3.511
_cell_angle_alpha 90.00
_cell_angle_beta 90.00
_cell_angle_gamma 90.00
loop_
_atom_site_label
_atom_site_type_symbol
_atom_site_fract_x
_atom_site_fract_y
_atom_site_fract_z
Ta1 Ta 0.000 0.000 0.000
Nb1 Nb 0.175 0.325 0.500
Ga1 Ga 0.126 0.626 0.000
```

---

Entry 8:
Structure and theoretical powder X-ray diffraction pattern of Tm2NbGa2 (the PBE geometry in OQMD; copper Kα).
Peak positions follow from Bragg's law for the DFT cell and can differ from measured ones.

Most intense lines, 10 to 90 degrees two-theta, low angle first:
| two_theta | intensity | h k l |
| --- | --- | --- |
| 27.62 | 125 | 2 1 0 |
| 32.90 | 415 | 2 0 1 |
| 35.22 | 1000 | 2 1 1 |
| 39.45 | 277 | 3 1 0 |
| 43.69 | 176 | 0 0 2 |
| 52.22 | 105 | 4 1 0 |
| 57.08 | 194 | 4 1 1 |
| 58.63 | 101 | 3 3 1 |
| 60.32 | 157 | 3 1 2 |
| 74.75 | 100 | 2 1 3 |

Cell and atoms:
```
data_Tm2NbGa2
_chemical_formula_sum 'Tm4 Nb2 Ga4'
_space_group_name_H-M_alt 'P 4/m b m'
_space_group_IT_number 127
_space_group_name_Hall '-P 4 2ab'
_cell_length_a 7.222
_cell_length_b 7.222
_cell_length_c 4.144
_cell_angle_alpha 90.00
_cell_angle_beta 90.00
_cell_angle_gamma 90.00
loop_
_atom_site_label
_atom_site_type_symbol
_atom_site_fract_x
_atom_site_fract_y
_atom_site_fract_z
Tm1 Tm 0.178 0.322 0.000
Nb1 Nb 0.000 0.000 0.500
Ga1 Ga 0.127 0.627 0.500
```

---

Entry 9:
Structure and theoretical powder X-ray diffraction pattern of NdGa6 (the PBE geometry in OQMD; copper Kα).
Peak positions follow from Bragg's law for the DFT cell and can differ from measured ones.

Most intense lines, 10 to 90 degrees two-theta, low angle first:
| two_theta | intensity | h k l |
| --- | --- | --- |
| 31.55 | 325 | 1 1 2 |
| 32.06 | 1000 | 2 0 1 |
| 35.47 | 243 | 2 1 1 |
| 41.14 | 214 | 2 1 2 |
| 41.41 | 406 | 1 1 3 |
| 42.62 | 399 | 2 2 0 |
| 53.98 | 200 | 3 1 2 |
| 69.09 | 143 | 4 1 2 |
| 69.95 | 144 | 3 1 4 |
| 77.19 | 147 | 3 3 3 |

Cell and atoms:
```
data_NdGa6
_chemical_formula_sum 'Nd2 Ga12'
_space_group_name_H-M_alt 'P 4/n b m'
_space_group_IT_number 125
_cell_length_a 6.000
_cell_length_b 6.000
_cell_length_c 7.626
_cell_angle_alpha 90.00
_cell_angle_beta 90.00
_cell_angle_gamma 90.00
loop_
_space_group_symop_operation_xyz
'x,y,z'
'-x,-y,-z'
'-y+1/2,x,z'
'y+1/2,-x,-z'
'-x+1/2,-y+1/2,z'
'x+1/2,y+1/2,-z'
'y,-x+1/2,z'
'-y,x+1/2,-z'
'x,-y+1/2,-z'
'-x,y+1/2,z'
'-y+1/2,-x+1/2,-z'
'y+1/2,x+1/2,z'
'-x+1/2,y,-z'
'x+1/2,-y,z'
'y,x,-z'
'-y,-x,z'
loop_
_atom_site_label
_atom_site_type_symbol
_atom_site_fract_x
_atom_site_fract_y
_atom_site_fract_z
Nd1 Nd 0.250 0.750 0.000
Ga1 Ga 0.054 0.554 0.348
Ga2 Ga 0.250 0.250 0.161
```

---

Entry 10:
Structure and theoretical powder X-ray diffraction pattern of Nd3Ga2 (the PBE geometry in OQMD; copper Kα).
Peak positions follow from Bragg's law for the DFT cell and can differ from measured ones.

Most intense lines, 10 to 90 degrees two-theta, low angle first:
| two_theta | intensity | h k l |
| --- | --- | --- |
| 31.32 | 1000 | 4 1 1 |
| 31.69 | 294 | 3 3 0 |
| 32.04 | 379 | 3 2 3 |
| 33.09 | 964 | 3 1 4 |
| 33.45 | 416 | 4 2 0 |
| 35.46 | 283 | 4 1 3 |
| 51.98 | 220 | 4 1 7 |
| 53.90 | 153 | 6 2 4 |
| 54.14 | 157 | 5 5 0 |
| 59.58 | 174 | 7 1 4 |

Cell and atoms:
```
data_Nd3Ga2
_chemical_formula_sum 'Nd48 Ga32'
_space_group_name_H-M_alt 'I 4/m c m'
_space_group_IT_number 140
_space_group_name_Hall '-I 4 2c'
_cell_length_a 11.978
_cell_length_b 11.978
_cell_length_c 15.477
_cell_angle_alpha 90.00
_cell_angle_beta 90.00
_cell_angle_gamma 90.00
loop_
_atom_site_label
_atom_site_type_symbol
_atom_site_fract_x
_atom_site_fract_y
_atom_site_fract_z
Nd1 Nd 0.000 0.500 0.149
Nd2 Nd 0.067 0.200 0.134
Nd3 Nd 0.168 0.332 0.500
Ga1 Ga 0.000 0.000 0.000
Ga2 Ga 0.000 0.000 0.250
Ga3 Ga 0.116 0.384 0.000
Ga4 Ga 0.180 0.320 0.297
```

---

Entry 11:
Structure and theoretical powder X-ray diffraction pattern of NdGaNiPt3 (the PBE geometry in OQMD; copper Kα).
Peak positions follow from Bragg's law for the DFT cell and can differ from measured ones.

Most intense lines, 10 to 90 degrees two-theta, low angle first:
| two_theta | intensity | h k l |
| --- | --- | --- |
| 21.91 | 261 | 0 0 1 |
| 28.92 | 685 | 1 0 1 |
| 37.80 | 1000 | 2 0 0 |
| 39.61 | 937 | 1 1 1 |
| 44.11 | 771 | 2 0 1 |
| 44.67 | 364 | 0 0 2 |
| 59.91 | 535 | 2 0 2 |
| 62.89 | 240 | 3 0 1 |
| 68.25 | 308 | 2 2 0 |
| 85.32 | 342 | 2 2 2 |

Cell and atoms:
```
data_NdGaNiPt3
_chemical_formula_sum 'Nd1 Ga1 Ni1 Pt3'
_space_group_name_H-M_alt 'P -6 m 2'
_space_group_IT_number 187
_space_group_name_Hall 'P -6 2'
_cell_length_a 5.4966
_cell_length_b 5.4966
_cell_length_c 4.0570
_cell_angle_alpha 90.00
_cell_angle_beta 90.00
_cell_angle_gamma 120.00
loop_
_atom_site_label
_atom_site_type_symbol
_atom_site_fract_x
_atom_site_fract_y
_atom_site_fract_z
Nd1 Nd 0.0000 0.0000 0.0000
Ga1 Ga 0.6667 0.3333 0.0000
Ni1 Ni 0.3333 0.6667 0.0000
Pt1 Pt 0.0052 0.5026 0.5000
```

---

Entry 12:
Structure and theoretical powder X-ray diffraction pattern of NdGa2NiPt (the PBE geometry in OQMD; copper Kα).
Peak positions follow from Bragg's law for the DFT cell and can differ from measured ones.

Most intense lines, 10 to 90 degrees two-theta, low angle first:
| two_theta | intensity | h k l |
| --- | --- | --- |
| 27.42 | 346 | 1 0 2 |
| 29.36 | 556 | 1 1 0 |
| 34.15 | 909 | 1 0 3 |
| 34.57 | 914 | 1 1 2 |
| 42.00 | 1000 | 2 0 0 |
| 47.22 | 248 | 1 1 4 |
| 50.57 | 412 | 1 0 5 |
| 55.20 | 467 | 2 1 3 |
| 60.90 | 372 | 2 2 0 |
| 67.78 | 330 | 2 1 5 |

Cell and atoms:
```
data_NdGa2NiPt
_chemical_formula_sum 'Nd2 Ga4 Ni2 Pt2'
_space_group_name_H-M_alt 'P 4/n m m'
_space_group_IT_number 129
_cell_length_a 4.302
_cell_length_b 4.302
_cell_length_c 9.942
_cell_angle_alpha 90.00
_cell_angle_beta 90.00
_cell_angle_gamma 90.00
loop_
_space_group_symop_operation_xyz
'x,y,z'
'-x,-y,-z'
'-y+1/2,x,z'
'y+1/2,-x,-z'
'-x+1/2,-y+1/2,z'
'x+1/2,y+1/2,-z'
'y,-x+1/2,z'
'-y,x+1/2,-z'
'x+1/2,-y,-z'
'-x+1/2,y,z'
'-y,-x,-z'
'y,x,z'
'-x,y+1/2,-z'
'x,-y+1/2,z'
'y+1/2,x+1/2,-z'
'-y+1/2,-x+1/2,z'
loop_
_atom_site_label
_atom_site_type_symbol
_atom_site_fract_x
_atom_site_fract_y
_atom_site_fract_z
Nd1 Nd 0.250 0.250 0.237
Ga1 Ga 0.250 0.250 0.892
Ga2 Ga 0.250 0.750 0.500
Ni1 Ni 0.250 0.750 0.000
Pt1 Pt 0.250 0.250 0.640
```